Computed powder diffractogram of Hf2CoF11 for copper Kα, from a GGA+U-relaxed structure.
Peak positions follow from Bragg's law for the DFT cell and can differ from measured ones.

Cell lengths 7.9156, 9.7336, 10.2147 Å; angles 90.00, 90.00, 90.00 degrees
Space group Ibam (No. 72)
Symmetry-distinct sites (fractional):
Hf 0.1126 0.1922 0.0000 [8 per cell]
Co 0.0000 0.5000 0.2500 [4 per cell]
F 0.0000 0.0000 0.0000 [4 per cell]
F 0.0752 0.3720 0.1296 [16 per cell]
F 0.1451 0.2195 0.5000 [8 per cell]
F 0.2087 0.1134 0.1567 [16 per cell]

Principal peaks in the range 2θ from 15° to 90°, by intensity:
hkl  d (Å)  two_theta  Rel. int.
2 1 1  3.451  25.82  100
0 2 2  3.523  25.28  58
0 0 2  5.107  17.36  57
1 1 2  3.927  22.64  41
1 2 1  3.842  23.15  29
3 2 3  1.918  47.39  26
0 2 0  4.867  18.23  22
1 3 4  1.945  46.70  20
1 3 0  3.002  29.76  20
2 1 3  2.495  36.00  20


Computed powder diffractogram of Mn6O5F7 for copper Kα, from a GGA+U-relaxed structure.
Peak positions follow from Bragg's law for the DFT cell and can differ from measured ones.

Cell lengths 6.4497, 6.9651, 9.4705 Å; angles 90.00, 90.01, 90.00 degrees
Space group C2 (No. 5)
Symmetry-distinct sites (fractional):
Mn 0.0000 0.0000 0.0000 [2 per cell]
Mn 0.0000 0.4661 0.5000 [2 per cell]
Mn 0.0024 0.4973 0.8410 [4 per cell]
Mn 0.0288 0.9981 0.3405 [4 per cell]
O 0.0000 0.1709 0.5000 [2 per cell]
O 0.1785 0.4863 0.6673 [4 per cell]
O 0.1960 0.5016 0.0016 [4 per cell]
F 0.0000 0.7700 0.5000 [2 per cell]
F 0.0107 0.1900 0.1669 [4 per cell]
F 0.0138 0.8120 0.1762 [4 per cell]
F 0.2175 0.4880 0.3225 [4 per cell]

Principal peaks in the range 2θ from 15° to 90°, by intensity:
hkl  d (Å)  two_theta  Rel. int.
0 2 0  3.483  25.58  100
1 1 -3  2.626  34.14  97
2 0 0  3.225  27.66  84
1 3 -3  1.796  50.83  63
3 1 -3  1.722  53.20  47
3 3 -3  1.411  66.23  38
0 2 3  2.339  38.49  19
0 0 6  1.578  58.47  18
2 0 3  2.256  39.97  18
0 4 0  1.741  52.56  18


What did the first record say?
Computed powder diffractogram of Hf2CoF11 for copper Kα, from a GGA+U-relaxed structure.
Peak positions follow from Bragg's law for the DFT cell and can differ from measured ones.

Cell lengths 7.9156, 9.7336, 10.2147 Å; angles 90.00, 90.00, 90.00 degrees
Space group Ibam (No. 72)
Symmetry-distinct sites (fractional):
Hf 0.1126 0.1922 0.0000 [8 per cell]
Co 0.0000 0.5000 0.2500 [4 per cell]
F 0.0000 0.0000 0.0000 [4 per cell]
F 0.0752 0.3720 0.1296 [16 per cell]
F 0.1451 0.2195 0.5000 [8 per cell]
F 0.2087 0.1134 0.1567 [16 per cell]

Principal peaks in the range 2θ from 15° to 90°, by intensity:
hkl  d (Å)  two_theta  Rel. int.
2 1 1  3.451  25.82  100
0 2 2  3.523  25.28  58
0 0 2  5.107  17.36  57
1 1 2  3.927  22.64  41
1 2 1  3.842  23.15  29
3 2 3  1.918  47.39  26
0 2 0  4.867  18.23  22
1 3 4  1.945  46.70  20
1 3 0  3.002  29.76  20
2 1 3  2.495  36.00  20